Starting from a cell relaxed with GGA-PBE, the XRD peak list of Sm3GeTe2 was computed for Cu Kα (λ = 1.5418 Å).

Structure:
```
Sm3GeTe2
1.0
3.842 -6.570 0.000
3.842 6.570 0.000
-2.537 0.000 7.117
Sm Ge Te
6 2 4
Direct
0.000 0.500 0.000
0.146 0.295 0.496
0.295 0.146 0.996
0.500 0.000 0.500
0.705 0.854 0.004
0.854 0.705 0.504
0.089 0.911 0.250
0.911 0.089 0.750
0.258 0.742 0.750
0.419 0.581 0.250
0.581 0.419 0.750
0.742 0.258 0.250
```

Top 8 peaks for 5° ≤ 2θ ≤ 70°, sorted by position:
2θ/deg  I (rel.)
28.7  50
28.8  100
40.8  36
41.1  18
41.2  18
41.4  38
51.0  19
67.7  16